# Li3Fe2P3O12
Computed powder XRD pattern, Cu Kα X-rays. Input: a structure optimized by DFT (PBE+U).

Peak list (12 most intense, 2θ = 10–80°, in order of rising 2θ)
(1 1 -1), 14.32 deg, intensity 54
(1 1 1), 20.31 deg, intensity 71
(2 0 -2), 20.51 deg, intensity 34
(3 1 -1), 21.07 deg, intensity 100
(1 1 -2), 23.73 deg, intensity 79
(2 2 -1), 23.97 deg, intensity 81
(3 1 0), 24.56 deg, intensity 81
(2 2 -2), 28.86 deg, intensity 59
(3 1 -3), 32.62 deg, intensity 39
(4 2 -2), 33.11 deg, intensity 34
(1 3 1), 35.31 deg, intensity 68
(2 2 -4), 48.60 deg, intensity 35

Crystal structure
Cell lengths 14.3922, 8.8376, 8.6738 Å; angles 90.00, 124.07, 90.00 degrees
Space group C2/c (No. 15)
One atom of each set of equivalent atoms:
Li 0.1978 0.0376 0.1418 (multiplicity 8)
Li 0.2500 0.2500 0.5000 (multiplicity 4)
Fe 0.1073 0.2554 0.6471 (multiplicity 8)
P 0.0000 0.0448 0.2500 (multiplicity 4)
P 0.1523 0.4077 0.0320 (multiplicity 8)
O 0.0330 0.3560 0.9569 (multiplicity 8)
O 0.0681 0.0541 0.6992 (multiplicity 8)
O 0.0888 0.1414 0.4193 (multiplicity 8)
O 0.1731 0.4190 0.5699 (multiplicity 8)
O 0.1836 0.3701 0.8926 (multiplicity 8)
O 0.2309 0.3303 0.2264 (multiplicity 8)